This entry pairs a crystal structure of NbPd2Au8 with its theoretical powder X-ray diffraction pattern. Radiation: Cu Ka. Structure: a structure optimized by DFT (PBE).
Peak positions follow from Bragg's law for the DFT cell and can differ from measured ones.

Peak list (12 most intense, 2θ = 10–90°, sorted by position)
2θ 26.52, 3.361 Å, I = 16
2θ 33.83, 2.650 Å, I = 24
2θ 38.36, 2.346 Å, I = 100
2θ 39.18, 2.299 Å, I = 78
2θ 40.25, 2.241 Å, I = 35
2θ 41.95, 2.154 Å, I = 40
2θ 52.31, 1.749 Å, I = 17
2θ 59.54, 1.553 Å, I = 23
2θ 69.19, 1.358 Å, I = 16
2θ 74.24, 1.277 Å, I = 15
2θ 74.78, 1.269 Å, I = 14
2θ 79.70, 1.203 Å, I = 24

Crystal structure
Cell: 6.999 6.999 4.308 Å, 90.00 90.00 106.17°
Fractional coordinates of all 11 atoms:
Nb (0.000, 0.000, 0.000)
Pd (0.381, 0.619, 0.500)
Pd (0.619, 0.381, 0.500)
Au (0.040, 0.299, 0.500)
Au (0.243, 0.757, 0.000)
Au (0.299, 0.040, 0.500)
Au (0.330, 0.330, 0.000)
Au (0.670, 0.670, 0.000)
Au (0.701, 0.960, 0.500)
Au (0.757, 0.243, 0.000)
Au (0.960, 0.701, 0.500)